[1]
The following is a simulated X-ray powder pattern of Cs2MnBiBr6. It was derived from a cell relaxed with GGA-PBE, using Cu Kα, 1.54184 Å.

Peak list (10 most intense, 2θ = 10–80°, by angle)
| 2θ/deg | d [Å] | I (rel.) |
| --- | --- | --- |
| 21.5 | 4.126 | 708 |
| 22.1 | 4.018 | 299 |
| 26.7 | 3.339 | 671 |
| 29.8 | 3.001 | 500 |
| 31.5 | 2.841 | 1000 |
| 33.5 | 2.674 | 239 |
| 38.5 | 2.340 | 321 |
| 43.9 | 2.063 | 679 |
| 45.1 | 2.009 | 363 |
| 55.0 | 1.669 | 346 |

Atomic structure:
Unit cell a=8.265 b=8.265 c=8.265 alpha=121.82 beta=121.82 gamma=86.87
Positions (direct):
Cs  0.250  0.750  0.500
Cs  0.750  0.250  0.500
Mn  0.000  0.000  0.000
Bi  0.500  0.500  0.000
Br  0.211  0.211  0.000
Br  0.246  0.246  0.492
Br  0.246  0.754  0.000
Br  0.754  0.246  0.000
Br  0.754  0.754  0.508
Br  0.789  0.789  0.000

---

[2]
The following is a simulated X-ray powder pattern of TbEr2Pt3. It was derived from a cell relaxed with GGA-PBE, using Cu Kα, 1.54184 Å.

Peak list (9 most intense, 2θ = 10–80°, by angle)
| 2θ/deg | d [Å] | I (rel.) |
| --- | --- | --- |
| 25.5 | 3.495 | 8 |
| 36.4 | 2.471 | 510 |
| 36.6 | 2.454 | 1000 |
| 52.4 | 1.748 | 181 |
| 53.2 | 1.722 | 87 |
| 65.6 | 1.423 | 369 |
| 66.1 | 1.413 | 181 |
| 77.2 | 1.236 | 58 |
| 77.9 | 1.227 | 114 |

Atomic structure:
Unit cell a=4.941 b=14.835 c=3.445 alpha=90.00 beta=90.00 gamma=90.00
Positions (direct):
Tb  0.000  0.000  0.000
Tb  0.500  0.500  0.000
Er  0.000  0.333  0.000
Er  0.000  0.667  0.000
Er  0.500  0.167  0.000
Er  0.500  0.833  0.000
Pt  0.000  0.170  0.500
Pt  0.000  0.500  0.500
Pt  0.000  0.830  0.500
Pt  0.500  0.000  0.500
Pt  0.500  0.330  0.500
Pt  0.500  0.670  0.500

---

[3]
The following is a simulated X-ray powder pattern of TbZn9Cu2. It was derived from a cell relaxed with GGA-PBE, using Cu Kα, 1.54184 Å.

Peak list (10 most intense, 2θ = 10–80°, by angle)
| 2θ/deg | d [Å] | I (rel.) |
| --- | --- | --- |
| 29.3 | 3.052 | 128 |
| 33.6 | 2.669 | 394 |
| 38.2 | 2.357 | 1000 |
| 38.4 | 2.346 | 723 |
| 41.3 | 2.184 | 323 |
| 43.8 | 2.065 | 146 |
| 45.3 | 2.003 | 479 |
| 47.3 | 1.922 | 289 |
| 48.7 | 1.871 | 125 |
| 69.3 | 1.357 | 294 |

Atomic structure:
Unit cell a=8.141 b=8.141 c=8.141 alpha=99.74 beta=99.74 gamma=131.42
Positions (direct):
Tb  0.375  0.625  0.750
Tb  0.625  0.375  0.250
Zn  0.125  0.875  0.250
Zn  0.135  0.560  0.333
Zn  0.135  0.802  0.575
Zn  0.198  0.273  0.333
Zn  0.198  0.865  0.925
Zn  0.273  0.198  0.833
Zn  0.273  0.440  0.075
Zn  0.440  0.273  0.575
Zn  0.440  0.865  0.167
Zn  0.560  0.135  0.833
Zn  0.560  0.727  0.425
Zn  0.727  0.560  0.925
Zn  0.727  0.802  0.167
Zn  0.802  0.135  0.075
Zn  0.802  0.727  0.667
Zn  0.865  0.198  0.425
Zn  0.865  0.440  0.667
Zn  0.875  0.125  0.750
Cu  0.000  0.000  0.000
Cu  0.000  0.000  0.500
Cu  0.000  0.500  0.000
Cu  0.500  0.000  0.500

---

[4]
The following is a simulated X-ray powder pattern of HfAgP2O8. It was derived from a cell relaxed with GGA-PBE, using Cu Kα, 1.54184 Å.

Peak list (10 most intense, 2θ = 10–80°, by angle)
| 2θ/deg | d [Å] | I (rel.) |
| --- | --- | --- |
| 19.2 | 4.629 | 1000 |
| 23.3 | 3.826 | 331 |
| 32.7 | 2.739 | 766 |
| 33.5 | 2.672 | 505 |
| 43.1 | 2.101 | 322 |
| 47.5 | 1.913 | 351 |
| 52.3 | 1.750 | 168 |
| 59.4 | 1.555 | 256 |
| 65.1 | 1.434 | 161 |
| 79.9 | 1.201 | 121 |

Atomic structure:
Unit cell a=5.345 b=5.345 c=6.795 alpha=90.00 beta=90.00 gamma=120.00
Positions (direct):
Hf  0.000  0.000  0.000
Ag  0.000  0.000  0.500
P  0.333  0.667  0.264
P  0.667  0.333  0.736
O  0.173  0.820  0.183
O  0.180  0.353  0.183
O  0.333  0.667  0.489
O  0.353  0.173  0.817
O  0.647  0.827  0.183
O  0.667  0.333  0.511
O  0.820  0.647  0.817
O  0.827  0.180  0.817

---

[5]
The following is a simulated X-ray powder pattern of Dy3Ho2Ag2. It was derived from a cell relaxed with GGA-PBE, using Cu Kα, 1.54184 Å.

Peak list (10 most intense, 2θ = 10–80°, by angle)
| 2θ/deg | d [Å] | I (rel.) |
| --- | --- | --- |
| 29.1 | 3.068 | 140 |
| 32.7 | 2.735 | 1000 |
| 35.4 | 2.537 | 521 |
| 37.1 | 2.424 | 109 |
| 50.9 | 1.794 | 184 |
| 51.7 | 1.768 | 79 |
| 56.7 | 1.624 | 92 |
| 59.0 | 1.566 | 55 |
| 61.8 | 1.500 | 317 |
| 74.8 | 1.269 | 58 |

Atomic structure:
Unit cell a=3.588 b=3.588 c=29.580 alpha=90.00 beta=90.00 gamma=90.00
Positions (direct):
Dy  0.000  0.000  0.000
Dy  0.000  0.000  0.125
Dy  0.000  0.000  0.875
Dy  0.500  0.500  0.375
Dy  0.500  0.500  0.500
Dy  0.500  0.500  0.625
Ho  0.000  0.000  0.291
Ho  0.000  0.000  0.709
Ho  0.500  0.500  0.209
Ho  0.500  0.500  0.791
Ag  0.000  0.000  0.438
Ag  0.000  0.000  0.562
Ag  0.500  0.500  0.062
Ag  0.500  0.500  0.938

---

[6]
The following is a simulated X-ray powder pattern of Ho3TlCd4. It was derived from a cell relaxed with GGA-PBE, using Cu Kα, 1.54184 Å.

Peak list (10 most intense, 2θ = 10–80°, by angle)
| 2θ/deg | d [Å] | I (rel.) |
| --- | --- | --- |
| 25.3 | 3.516 | 39 |
| 33.6 | 2.666 | 1000 |
| 36.1 | 2.486 | 411 |
| 44.3 | 2.045 | 116 |
| 52.0 | 1.758 | 144 |
| 58.4 | 1.579 | 201 |
| 63.4 | 1.468 | 314 |
| 70.7 | 1.333 | 113 |
| 74.7 | 1.271 | 97 |
| 76.7 | 1.243 | 45 |

Atomic structure:
Unit cell a=4.972 b=4.972 c=8.182 alpha=90.00 beta=90.00 gamma=90.00
Positions (direct):
Ho  0.000  0.000  0.000
Ho  0.000  0.000  0.500
Ho  0.500  0.500  0.000
Tl  0.500  0.500  0.500
Cd  0.000  0.500  0.249
Cd  0.000  0.500  0.751
Cd  0.500  0.000  0.249
Cd  0.500  0.000  0.751

---

Number 6 is which compound? Ho3TlCd4